# 1
Structure and computed PXRD pattern of AsAu17 (the PBE geometry in OQMD; Cu Kα (weighted mean of Kα1 and Kα2)).
Lines closer than 0.1° are merged.

Cell and atoms:
```
data_AsAu17
_symmetry_space_group_name_H-M 'P 1'
_symmetry_Int_Tables_number 1
_symmetry_space_group_name_Hall 'P 1'
_cell_length_a 5.750
_cell_length_b 5.750
_cell_length_c 24.945
_cell_angle_alpha 90.00
_cell_angle_beta 90.00
_cell_angle_gamma 120.00
loop_
_atom_site_label
_atom_site_fract_x
_atom_site_fract_y
_atom_site_fract_z
As1 0.000 0.000 0.000
As2 0.333 0.667 0.795
Au1 0.000 0.000 0.299
Au2 0.000 0.000 0.599
Au3 0.001 0.501 0.299
Au4 0.163 0.332 0.099
Au5 0.167 0.333 0.398
Au6 0.167 0.335 0.697
Au7 0.167 0.833 0.398
Au8 0.168 0.833 0.697
Au9 0.170 0.837 0.099
Au10 0.333 0.166 0.498
Au11 0.333 0.667 0.197
Au12 0.333 0.667 0.498
Au13 0.334 0.175 0.800
Au14 0.335 0.167 0.199
Au15 0.456 0.455 0.994
Au16 0.499 0.500 0.299
Au17 0.500 0.999 0.299
Au18 0.501 0.001 0.597
Au19 0.501 0.499 0.597
Au20 0.545 0.001 0.994
Au21 0.665 0.832 0.697
Au22 0.667 0.333 0.097
Au23 0.667 0.333 0.398
Au24 0.667 0.333 0.698
Au25 0.667 0.833 0.398
Au26 0.668 0.830 0.099
Au27 0.825 0.159 0.800
Au28 0.832 0.665 0.199
Au29 0.833 0.168 0.199
Au30 0.834 0.166 0.498
Au31 0.834 0.667 0.498
Au32 0.841 0.666 0.800
Au33 0.999 0.499 0.597
Au34 0.999 0.544 0.994
```

Largest 12 diffraction maxima, in order of rising 2θ, 2θ from 10° to 80°:
2θ (°)	I_rel	h k l
36.01	51.0	0 0 10
37.71	100.0	0 2 3
38.95	35.6	0 2 4
40.49	9.7	2 0 5
42.31	28.9	2 0 6
44.38	62.2	2 0 7
60.96	25.2	0 2 13
64.29	8.3	0 2 14
64.86	26.4	2 2 0
75.16	13.4	2 0 17
76.48	33.4	2 2 10
77.53	12.2	4 0 3



# 2
Structure and computed PXRD pattern of Ba2As2PdAu (the PBE geometry in OQMD; Cu Kα (weighted mean of Kα1 and Kα2)).
Lines closer than 0.1° are merged.

Cell and atoms:
```
data_Ba2As2PdAu
_symmetry_space_group_name_H-M 'P 1'
_symmetry_Int_Tables_number 1
_symmetry_space_group_name_Hall 'P 1'
_cell_length_a 4.484
_cell_length_b 4.484
_cell_length_c 9.465
_cell_angle_alpha 90.00
_cell_angle_beta 90.00
_cell_angle_gamma 120.00
loop_
_atom_site_label
_atom_site_fract_x
_atom_site_fract_y
_atom_site_fract_z
Ba1 0.000 0.000 0.240
Ba2 0.000 0.000 0.760
As1 0.333 0.667 0.500
As2 0.667 0.333 0.000
Pd1 0.333 0.667 0.000
Au1 0.667 0.333 0.500
```

Largest 12 diffraction maxima, in order of rising 2θ, 2θ from 10° to 80°:
2θ (°)	I_rel	h k l
18.75	8.3	0 0 2
24.78	12.9	1 0 1
29.76	100.0	1 0 2
38.03	17.9	0 0 4
40.23	46.7	1 1 0
44.73	5.4	1 1 2
50.83	22.3	2 0 2
56.55	33.6	1 1 4
63.67	10.7	1 0 6
66.73	19.8	2 1 2
73.11	8.0	3 0 0
78.05	6.0	2 0 6



# 3
Structure and computed PXRD pattern of Ba2As2PtAu (the PBE geometry in OQMD; Cu Kα (weighted mean of Kα1 and Kα2)).
Lines closer than 0.1° are merged.

Cell and atoms:
```
data_Ba2As2PtAu
_symmetry_space_group_name_H-M 'P 1'
_symmetry_Int_Tables_number 1
_symmetry_space_group_name_Hall 'P 1'
_cell_length_a 4.466
_cell_length_b 4.466
_cell_length_c 9.466
_cell_angle_alpha 90.00
_cell_angle_beta 90.00
_cell_angle_gamma 120.00
loop_
_atom_site_label
_atom_site_fract_x
_atom_site_fract_y
_atom_site_fract_z
Ba1 0.000 0.000 0.241
Ba2 0.000 0.000 0.759
As1 0.333 0.667 0.500
As2 0.667 0.333 0.000
Pt1 0.333 0.667 0.000
Au1 0.667 0.333 0.500
```

Largest 12 diffraction maxima, in order of rising 2θ, 2θ from 10° to 80°:
2θ (°)	I_rel	h k l
18.75	14.2	0 0 2
24.87	22.3	1 0 1
29.83	100.0	1 0 2
36.76	8.7	1 0 3
38.02	19.6	0 0 4
40.39	50.5	1 1 0
44.88	9.5	1 1 2
51.02	22.3	2 0 2
56.68	36.9	1 1 4
63.71	10.9	1 0 6
67.00	19.8	2 1 2
73.46	11.2	3 0 0